(1)
Structure and calculated PXRD pattern of Sm2PuFe2 (a GGA-PBE-relaxed structure; Cu Kα X-rays).

Structural model:
```
data_Sm2PuFe2
_cell_length_a 5.7087
_cell_length_b 5.7087
_cell_length_c 7.6071
_cell_angle_alpha 98.36
_cell_angle_beta 98.36
_cell_angle_gamma 62.32
_space_group_name_H-M_alt 'P 1'
_space_group_IT_number 1
_space_group_name_Hall 'P 1'
loop_
_atom_site_label
_atom_site_type_symbol
_atom_site_fract_x
_atom_site_fract_y
_atom_site_fract_z
Sm1 Sm 0.0401 0.2654 0.1512
Sm2 Sm 0.2654 0.0401 0.6512
Sm3 Sm 0.7346 0.9599 0.3488
Sm4 Sm 0.9599 0.7346 0.8488
Pu1 Pu 0.3959 0.6041 0.2500
Pu2 Pu 0.6041 0.3959 0.7500
Fe1 Fe 0.2618 0.4971 0.4902
Fe2 Fe 0.4971 0.2618 0.9902
Fe3 Fe 0.5029 0.7382 0.0098
Fe4 Fe 0.7382 0.5029 0.5098
```

Peak list (10 most intense, 10° ≤ 2θ ≤ 90°, in order of rising 2θ)
17.61°, I = 186; 28.39°, I = 260; 31.73°, I = 386; 32.20°, I = 207; 32.62°, I = 1000; 35.65°, I = 250; 36.92°, I = 277; 38.75°, I = 597; 40.97°, I = 166; 50.43°, I = 201


(2)
Structure and calculated PXRD pattern of Pu4FeSn8 (a GGA-PBE-relaxed structure; Cu Kα X-rays).

Structural model:
```
data_Pu4FeSn8
_cell_length_a 4.4870
_cell_length_b 4.6253
_cell_length_c 15.9174
_cell_angle_alpha 90.00
_cell_angle_beta 90.00
_cell_angle_gamma 90.00
_space_group_name_H-M_alt 'P 1'
_space_group_IT_number 1
_space_group_name_Hall 'P 1'
loop_
_atom_site_label
_atom_site_type_symbol
_atom_site_fract_x
_atom_site_fract_y
_atom_site_fract_z
Pu1 Pu 0.0000 0.0000 0.0000
Pu2 Pu 0.0000 0.5000 0.4847
Pu3 Pu 0.5000 0.0000 0.8008
Pu4 Pu 0.5000 0.5000 0.3106
Fe1 Fe 0.0000 0.5000 0.6963
Sn1 Sn 0.0000 0.0000 0.3282
Sn2 Sn 0.0000 0.0000 0.6318
Sn3 Sn 0.0000 0.5000 0.1508
Sn4 Sn 0.0000 0.5000 0.8520
Sn5 Sn 0.5000 0.0000 0.1601
Sn6 Sn 0.5000 0.0000 0.4671
Sn7 Sn 0.5000 0.5000 0.6326
Sn8 Sn 0.5000 0.5000 0.9782
```

Peak list (10 most intense, 10° ≤ 2θ ≤ 90°, in order of rising 2θ)
32.52°, I = 1000; 33.79°, I = 183; 38.94°, I = 186; 40.20°, I = 171; 52.49°, I = 108; 57.21°, I = 124; 59.64°, I = 109; 66.50°, I = 135; 68.12°, I = 104; 68.23°, I = 126


(3)
Structure and calculated PXRD pattern of TbPuFe10 (a GGA-PBE-relaxed structure; Cu Kα X-rays).

Structural model:
```
data_TbPuFe10
_cell_length_a 3.9517
_cell_length_b 4.9765
_cell_length_c 8.6272
_cell_angle_alpha 90.00
_cell_angle_beta 90.00
_cell_angle_gamma 90.00
_space_group_name_H-M_alt 'P 1'
_space_group_IT_number 1
_space_group_name_Hall 'P 1'
loop_
_atom_site_label
_atom_site_type_symbol
_atom_site_fract_x
_atom_site_fract_y
_atom_site_fract_z
Tb1 Tb 0.0000 0.0000 0.0000
Pu1 Pu 0.0000 0.5000 0.5000
Fe1 Fe 0.0000 0.0000 0.3353
Fe2 Fe 0.0000 0.0000 0.6647
Fe3 Fe 0.0000 0.5000 0.1682
Fe4 Fe 0.0000 0.5000 0.8318
Fe5 Fe 0.5000 0.0000 0.5000
Fe6 Fe 0.5000 0.2499 0.2498
Fe7 Fe 0.5000 0.2499 0.7502
Fe8 Fe 0.5000 0.5000 0.0000
Fe9 Fe 0.5000 0.7501 0.2498
Fe10 Fe 0.5000 0.7501 0.7502
```

Peak list (10 most intense, 10° ≤ 2θ ≤ 90°, in order of rising 2θ)
30.69°, I = 690; 36.08°, I = 383; 41.91°, I = 382; 42.94°, I = 1000; 45.93°, I = 239; 59.75°, I = 177; 61.55°, I = 197; 63.91°, I = 213; 69.61°, I = 227; 76.54°, I = 145


(4)
Structure and calculated PXRD pattern of Tb2PuFe2 (a GGA-PBE-relaxed structure; Cu Kα X-rays).

Structural model:
```
data_Tb2PuFe2
_cell_length_a 5.6231
_cell_length_b 5.6231
_cell_length_c 7.5517
_cell_angle_alpha 98.83
_cell_angle_beta 98.83
_cell_angle_gamma 62.03
_space_group_name_H-M_alt 'P 1'
_space_group_IT_number 1
_space_group_name_Hall 'P 1'
loop_
_atom_site_label
_atom_site_type_symbol
_atom_site_fract_x
_atom_site_fract_y
_atom_site_fract_z
Tb1 Tb 0.0371 0.2675 0.1511
Tb2 Tb 0.2675 0.0371 0.6511
Tb3 Tb 0.7325 0.9629 0.3489
Tb4 Tb 0.9629 0.7325 0.8489
Pu1 Pu 0.3926 0.6074 0.2500
Pu2 Pu 0.6074 0.3926 0.7500
Fe1 Fe 0.2541 0.4978 0.4914
Fe2 Fe 0.4978 0.2541 0.9914
Fe3 Fe 0.5022 0.7459 0.0086
Fe4 Fe 0.7459 0.5022 0.5086
```

Peak list (10 most intense, 10° ≤ 2θ ≤ 90°, in order of rising 2θ)
28.68°, I = 260; 32.26°, I = 367; 32.62°, I = 227; 33.19°, I = 1000; 36.30°, I = 246; 37.27°, I = 319; 39.13°, I = 273; 39.47°, I = 331; 50.87°, I = 193; 58.45°, I = 174


(5)
Structure and calculated PXRD pattern of PuFeTc (a GGA-PBE-relaxed structure; Cu Kα X-rays).

Structural model:
```
data_PuFeTc
_cell_length_a 4.9960
_cell_length_b 5.6610
_cell_length_c 7.2235
_cell_angle_alpha 90.00
_cell_angle_beta 90.00
_cell_angle_gamma 90.00
_space_group_name_H-M_alt 'P 1'
_space_group_IT_number 1
_space_group_name_Hall 'P 1'
loop_
_atom_site_label
_atom_site_type_symbol
_atom_site_fract_x
_atom_site_fract_y
_atom_site_fract_z
Pu1 Pu 0.0000 0.2500 0.1299
Pu2 Pu 0.0000 0.7500 0.8701
Pu3 Pu 0.5000 0.2500 0.3701
Pu4 Pu 0.5000 0.7500 0.6299
Fe1 Fe 0.0000 0.0000 0.5000
Fe2 Fe 0.0000 0.5000 0.5000
Fe3 Fe 0.5000 0.0000 0.0000
Fe4 Fe 0.5000 0.5000 0.0000
Tc1 Tc 0.2500 0.2500 0.7500
Tc2 Tc 0.2500 0.7500 0.2500
Tc3 Tc 0.7500 0.2500 0.7500
Tc4 Tc 0.7500 0.7500 0.2500
```

Peak list (10 most intense, 10° ≤ 2θ ≤ 90°, in order of rising 2θ)
21.63°, I = 283; 31.61°, I = 437; 34.50°, I = 1000; 38.63°, I = 651; 40.72°, I = 366; 41.44°, I = 819; 41.64°, I = 314; 58.17°, I = 232; 63.07°, I = 239; 72.74°, I = 322


(6)
Structure and calculated PXRD pattern of Pu2Fe3Tc (a GGA-PBE-relaxed structure; Cu Kα X-rays).

Structural model:
```
data_Pu2Fe3Tc
_cell_length_a 8.5444
_cell_length_b 4.9314
_cell_length_c 5.2899
_cell_angle_alpha 90.00
_cell_angle_beta 122.66
_cell_angle_gamma 90.00
_space_group_name_H-M_alt 'P 1'
_space_group_IT_number 1
_space_group_name_Hall 'P 1'
loop_
_atom_site_label
_atom_site_type_symbol
_atom_site_fract_x
_atom_site_fract_y
_atom_site_fract_z
Pu1 Pu 0.1283 0.0000 0.3847
Pu2 Pu 0.3717 0.5000 0.6153
Pu3 Pu 0.6283 0.5000 0.3847
Pu4 Pu 0.8717 0.0000 0.6153
Fe1 Fe 0.0000 0.5000 0.0000
Fe2 Fe 0.2500 0.2500 0.0000
Fe3 Fe 0.2500 0.7500 0.0000
Fe4 Fe 0.5000 0.0000 0.0000
Fe5 Fe 0.7500 0.2500 0.0000
Fe6 Fe 0.7500 0.7500 0.0000
Tc1 Tc 0.0000 0.5000 0.5000
Tc2 Tc 0.5000 0.0000 0.5000
```

Peak list (10 most intense, 10° ≤ 2θ ≤ 90°, in order of rising 2θ)
19.94°, I = 302; 21.84°, I = 254; 34.07°, I = 607; 36.43°, I = 732; 39.79°, I = 459; 41.87°, I = 1000; 42.88°, I = 288; 65.58°, I = 241; 69.28°, I = 226; 71.74°, I = 210


(7)
Structure and calculated PXRD pattern of PuUFe2 (a GGA-PBE-relaxed structure; Cu Kα X-rays).

Structural model:
```
data_PuUFe2
_cell_length_a 3.2390
_cell_length_b 3.2390
_cell_length_c 6.7584
_cell_angle_alpha 90.00
_cell_angle_beta 90.00
_cell_angle_gamma 90.00
_space_group_name_H-M_alt 'P 1'
_space_group_IT_number 1
_space_group_name_Hall 'P 1'
loop_
_atom_site_label
_atom_site_type_symbol
_atom_site_fract_x
_atom_site_fract_y
_atom_site_fract_z
Pu1 Pu 0.0000 0.0000 0.0000
U1 U 0.0000 0.0000 0.5000
Fe1 Fe 0.5000 0.5000 0.2988
Fe2 Fe 0.5000 0.5000 0.7012
```

Peak list (10 most intense, 10° ≤ 2θ ≤ 90°, in order of rising 2θ)
26.37°, I = 278; 27.54°, I = 442; 38.50°, I = 1000; 39.34°, I = 508; 47.99°, I = 237; 56.85°, I = 175; 61.94°, I = 150; 69.08°, I = 151; 70.77°, I = 342; 89.02°, I = 123


(8)
Structure and calculated PXRD pattern of RbFe2Rh (a GGA-PBE-relaxed structure; Cu Kα X-rays).

Structural model:
```
data_RbFe2Rh
_cell_length_a 5.0674
_cell_length_b 5.0674
_cell_length_c 16.6751
_cell_angle_alpha 90.00
_cell_angle_beta 90.00
_cell_angle_gamma 90.00
_space_group_name_H-M_alt 'P 1'
_space_group_IT_number 1
_space_group_name_Hall 'P 1'
loop_
_atom_site_label
_atom_site_type_symbol
_atom_site_fract_x
_atom_site_fract_y
_atom_site_fract_z
Rb1 Rb 0.0000 0.2500 0.3750
Rb2 Rb 0.0000 0.7500 0.6250
Rb3 Rb 0.5000 0.2500 0.1250
Rb4 Rb 0.5000 0.7500 0.8750
Fe1 Fe 0.0000 0.0000 0.0000
Fe2 Fe 0.0000 0.5000 0.0000
Fe3 Fe 0.2500 0.2500 0.7500
Fe4 Fe 0.2500 0.7500 0.2500
Fe5 Fe 0.5000 0.0000 0.5000
Fe6 Fe 0.5000 0.5000 0.5000
Fe7 Fe 0.7500 0.2500 0.7500
Fe8 Fe 0.7500 0.7500 0.2500
Rh1 Rh 0.0000 0.2500 0.8750
Rh2 Rh 0.0000 0.7500 0.1250
Rh3 Rh 0.5000 0.2500 0.6250
Rh4 Rh 0.5000 0.7500 0.3750
```

Peak list (10 most intense, 10° ≤ 2θ ≤ 90°, in order of rising 2θ)
18.30°, I = 387; 27.09°, I = 1000; 35.43°, I = 243; 37.09°, I = 162; 41.10°, I = 319; 41.72°, I = 306; 43.41°, I = 176; 55.86°, I = 324; 58.67°, I = 220; 67.47°, I = 147


(9)
Structure and calculated PXRD pattern of Rb3FeRh2Se6 (a GGA-PBE-relaxed structure; Cu Kα X-rays).

Structural model:
```
data_Rb3FeRh2Se6
_cell_length_a 6.7389
_cell_length_b 6.7389
_cell_length_c 7.7234
_cell_angle_alpha 98.36
_cell_angle_beta 98.36
_cell_angle_gamma 120.00
_space_group_name_H-M_alt 'P 1'
_space_group_IT_number 1
_space_group_name_Hall 'P 1'
loop_
_atom_site_label
_atom_site_type_symbol
_atom_site_fract_x
_atom_site_fract_y
_atom_site_fract_z
Rb1 Rb 0.0000 0.0000 0.0000
Rb2 Rb 0.3299 0.6701 0.0000
Rb3 Rb 0.6701 0.3299 0.0000
Fe1 Fe 0.5000 0.5000 0.5000
Rh1 Rh 0.1666 0.8334 0.5000
Rh2 Rh 0.8334 0.1666 0.5000
Se1 Se 0.1219 0.4473 0.3419
Se2 Se 0.2275 0.2275 0.6592
Se3 Se 0.4473 0.1219 0.3419
Se4 Se 0.5527 0.8781 0.6581
Se5 Se 0.7725 0.7725 0.3408
Se6 Se 0.8781 0.5527 0.6581
```

Peak list (10 most intense, 10° ≤ 2θ ≤ 90°, in order of rising 2θ)
11.98°, I = 320; 31.06°, I = 1000; 33.40°, I = 154; 39.03°, I = 158; 42.22°, I = 166; 46.69°, I = 415; 49.20°, I = 168; 57.14°, I = 169; 65.08°, I = 137; 76.79°, I = 139


(10)
Structure and calculated PXRD pattern of RbFeRu2 (a GGA-PBE-relaxed structure; Cu Kα X-rays).

Structural model:
```
data_RbFeRu2
_cell_length_a 4.8945
_cell_length_b 4.8945
_cell_length_c 17.1041
_cell_angle_alpha 90.00
_cell_angle_beta 90.00
_cell_angle_gamma 90.00
_space_group_name_H-M_alt 'P 1'
_space_group_IT_number 1
_space_group_name_Hall 'P 1'
loop_
_atom_site_label
_atom_site_type_symbol
_atom_site_fract_x
_atom_site_fract_y
_atom_site_fract_z
Rb1 Rb 0.0000 0.2500 0.3750
Rb2 Rb 0.0000 0.7500 0.6250
Rb3 Rb 0.5000 0.2500 0.1250
Rb4 Rb 0.5000 0.7500 0.8750
Fe1 Fe 0.0000 0.2500 0.8750
Fe2 Fe 0.0000 0.7500 0.1250
Fe3 Fe 0.5000 0.2500 0.6250
Fe4 Fe 0.5000 0.7500 0.3750
Ru1 Ru 0.0000 0.0000 0.0000
Ru2 Ru 0.0000 0.5000 0.0000
Ru3 Ru 0.2500 0.2500 0.7500
Ru4 Ru 0.2500 0.7500 0.2500
Ru5 Ru 0.5000 0.0000 0.5000
Ru6 Ru 0.5000 0.5000 0.5000
Ru7 Ru 0.7500 0.2500 0.7500
Ru8 Ru 0.7500 0.7500 0.2500
```

Peak list (10 most intense, 10° ≤ 2θ ≤ 90°, in order of rising 2θ)
18.86°, I = 863; 23.96°, I = 1000; 27.81°, I = 979; 31.92°, I = 477; 38.25°, I = 821; 41.02°, I = 332; 41.60°, I = 456; 42.27°, I = 446; 49.06°, I = 397; 57.45°, I = 703


(11)
Structure and calculated PXRD pattern of Rb3U3FeS8 (a GGA-PBE-relaxed structure; Cu Kα X-rays).

Structural model:
```
data_Rb3U3FeS8
_cell_length_a 7.8808
_cell_length_b 7.8808
_cell_length_c 9.0915
_cell_angle_alpha 115.78
_cell_angle_beta 115.78
_cell_angle_gamma 59.97
_space_group_name_H-M_alt 'P 1'
_space_group_IT_number 1
_space_group_name_Hall 'P 1'
loop_
_atom_site_label
_atom_site_type_symbol
_atom_site_fract_x
_atom_site_fract_y
_atom_site_fract_z
Rb1 Rb 0.0000 0.0000 0.0000
Rb2 Rb 0.0000 0.5000 0.0000
Rb3 Rb 0.5000 0.0000 0.0000
U1 U 0.0000 0.5000 0.5000
U2 U 0.5000 0.0000 0.5000
U3 U 0.5000 0.5000 0.5000
Fe1 Fe 0.0000 0.0000 0.5000
S1 S 0.2232 0.2232 0.6815
S2 S 0.2231 0.7355 0.6813
S3 S 0.2645 0.7769 0.3187
S4 S 0.2682 0.2682 0.3050
S5 S 0.7318 0.7318 0.6950
S6 S 0.7355 0.2231 0.6813
S7 S 0.7769 0.2645 0.3187
S8 S 0.7768 0.7768 0.3185
```

Peak list (10 most intense, 10° ≤ 2θ ≤ 90°, in order of rising 2θ)
11.25°, I = 749; 15.00°, I = 216; 22.61°, I = 379; 27.21°, I = 465; 30.26°, I = 1000; 37.51°, I = 180; 40.43°, I = 401; 46.08°, I = 354; 46.82°, I = 201; 51.92°, I = 211


(12)
Structure and calculated PXRD pattern of RbFeSb2 (a GGA-PBE-relaxed structure; Cu Kα X-rays).

Structural model:
```
data_RbFeSb2
_cell_length_a 6.4027
_cell_length_b 6.4027
_cell_length_c 14.4142
_cell_angle_alpha 90.00
_cell_angle_beta 90.00
_cell_angle_gamma 90.00
_space_group_name_H-M_alt 'P 1'
_space_group_IT_number 1
_space_group_name_Hall 'P 1'
loop_
_atom_site_label
_atom_site_type_symbol
_atom_site_fract_x
_atom_site_fract_y
_atom_site_fract_z
Rb1 Rb 0.0000 0.2500 0.3750
Rb2 Rb 0.0000 0.7500 0.6250
Rb3 Rb 0.5000 0.2500 0.1250
Rb4 Rb 0.5000 0.7500 0.8750
Fe1 Fe 0.0000 0.2500 0.8750
Fe2 Fe 0.0000 0.7500 0.1250
Fe3 Fe 0.5000 0.2500 0.6250
Fe4 Fe 0.5000 0.7500 0.3750
Sb1 Sb 0.0000 0.0000 0.0000
Sb2 Sb 0.0000 0.5000 0.0000
Sb3 Sb 0.2500 0.2500 0.7500
Sb4 Sb 0.2500 0.7500 0.2500
Sb5 Sb 0.5000 0.0000 0.5000
Sb6 Sb 0.5000 0.5000 0.5000
Sb7 Sb 0.7500 0.2500 0.7500
Sb8 Sb 0.7500 0.7500 0.2500
```

Peak list (10 most intense, 10° ≤ 2θ ≤ 90°, in order of rising 2θ)
15.14°, I = 691; 23.17°, I = 1000; 27.87°, I = 165; 30.56°, I = 703; 31.86°, I = 423; 34.11°, I = 176; 36.53°, I = 153; 46.58°, I = 226; 47.31°, I = 206; 47.43°, I = 521